The following is a calculated X-ray diffraction stick pattern of LaPrTe2. It was derived from a cell relaxed with GGA-PBE, using Cu Kα.
Intensities are scaled so that the largest is 100.

Most intense lines, 2θ = 15–90°, in order of falling intensity:
27.68 deg, intensity 100; 39.44 deg, intensity 39; 39.67 deg, intensity 38; 48.86 deg, intensity 21; 64.52 deg, intensity 18; 64.84 deg, intensity 18; 71.67 deg, intensity 13; 57.17 deg, intensity 13

```
data_LaPrTe2
_cell_length_a 7.857
_cell_length_b 7.857
_cell_length_c 7.857
_cell_angle_alpha 33.81
_cell_angle_beta 33.81
_cell_angle_gamma 33.81
_space_group_name_H-M_alt 'P 1'
_space_group_IT_number 1
loop_
_space_group_symop_operation_xyz
'x,y,z'
loop_
_atom_site_label
_atom_site_fract_x
_atom_site_fract_y
_atom_site_fract_z
La1 0.000 0.000 0.000
Pr1 0.500 0.500 0.500
Te1 0.249 0.249 0.249
Te2 0.751 0.751 0.751
```